Starting from a crystal structure in Alexandria, relaxed with GGA-PBE, the powder diffraction line list of Mn2SnPt9 was calculated for a wavelength of 1.5418 Å.
Lines closer than 0.1° are merged.

The 10 most intense peaks (10 to 90 degrees two-theta), sorted by position:
2θ = 22.4°, rel. 9.3
2θ = 31.8°, rel. 8.0
2θ = 39.3°, rel. 100.0
2θ = 45.6°, rel. 48.9
2θ = 51.4°, rel. 4.3
2θ = 56.7°, rel. 3.1
2θ = 66.5°, rel. 31.5
2θ = 80.0°, rel. 25.9
2θ = 80.2°, rel. 11.6
2θ = 84.4°, rel. 11.0

Crystal structure
```
data_Mn2SnPt9
_chemical_formula_sum 'Mn2 Sn1 Pt9'
_cell_length_a 3.9771
_cell_length_b 3.9771
_cell_length_c 11.9092
_cell_angle_alpha 90.00
_cell_angle_beta 90.00
_cell_angle_gamma 90.00
_space_group_name_H-M_alt 'P 1'
_space_group_IT_number 1
loop_
_space_group_symop_operation_xyz
'x,y,z'
loop_
_atom_site_label
_atom_site_fract_x
_atom_site_fract_y
_atom_site_fract_z
Mn1 0.0000 0.0000 0.1620
Mn2 0.0000 0.0000 0.8380
Sn1 0.0000 0.0000 0.5000
Pt1 0.0000 0.5000 0.0000
Pt2 0.0000 0.5000 0.3243
Pt3 0.0000 0.5000 0.6757
Pt4 0.5000 0.0000 0.0000
Pt5 0.5000 0.0000 0.3243
Pt6 0.5000 0.0000 0.6757
Pt7 0.5000 0.5000 0.1629
Pt8 0.5000 0.5000 0.5000
Pt9 0.5000 0.5000 0.8371
```

---

Starting from a crystal structure in Alexandria, relaxed with GGA-PBE, the powder diffraction line list of TaMn3Pt4 was calculated for a wavelength of 1.5418 Å.
Lines closer than 0.1° are merged.

The 10 most intense peaks (10 to 90 degrees two-theta), sorted by position:
2θ = 21.0°, rel. 13.0
2θ = 27.0°, rel. 18.9
2θ = 38.4°, rel. 18.6
2θ = 39.0°, rel. 16.6
2θ = 39.5°, rel. 40.8
2θ = 42.2°, rel. 100.0
2θ = 42.8°, rel. 23.0
2θ = 67.6°, rel. 13.9
2θ = 73.6°, rel. 21.1
2θ = 81.3°, rel. 16.4

Crystal structure
```
data_TaMn3Pt4
_chemical_formula_sum 'Ta2 Mn6 Pt8'
_cell_length_a 9.1191
_cell_length_b 5.6271
_cell_length_c 4.7731
_cell_angle_alpha 90.00
_cell_angle_beta 90.00
_cell_angle_gamma 90.00
_space_group_name_H-M_alt 'P 1'
_space_group_IT_number 1
loop_
_space_group_symop_operation_xyz
'x,y,z'
loop_
_atom_site_label
_atom_site_fract_x
_atom_site_fract_y
_atom_site_fract_z
Ta1 0.0000 0.0000 0.0000
Ta2 0.5000 0.0000 0.0000
Mn1 0.0000 0.5000 0.0000
Mn2 0.2500 0.0000 0.3779
Mn3 0.2500 0.5000 0.3703
Mn4 0.5000 0.5000 0.0000
Mn5 0.7500 0.0000 0.6221
Mn6 0.7500 0.5000 0.6297
Pt1 0.0000 0.2521 0.5000
Pt2 0.0000 0.7479 0.5000
Pt3 0.2500 0.2534 0.8685
Pt4 0.2500 0.7466 0.8685
Pt5 0.5000 0.2521 0.5000
Pt6 0.5000 0.7479 0.5000
Pt7 0.7500 0.2534 0.1315
Pt8 0.7500 0.7466 0.1315
```

---

Starting from a crystal structure in Alexandria, relaxed with GGA-PBE, the powder diffraction line list of TiMnTl2Pt was calculated for a wavelength of 1.5418 Å.
Lines closer than 0.1° are merged.

The 10 most intense peaks (10 to 90 degrees two-theta), sorted by position:
2θ = 17.0°, rel. 31.7
2θ = 17.6°, rel. 100.0
2θ = 24.6°, rel. 31.9
2θ = 30.1°, rel. 47.1
2θ = 34.4°, rel. 81.8
2θ = 35.7°, rel. 36.9
2θ = 38.9°, rel. 58.0
2θ = 49.4°, rel. 29.5
2θ = 50.4°, rel. 55.5
2θ = 62.5°, rel. 29.1

Crystal structure
```
data_TiMnTl2Pt
_chemical_formula_sum 'Ti1 Mn1 Tl2 Pt1'
_cell_length_a 5.2133
_cell_length_b 5.2133
_cell_length_c 5.0254
_cell_angle_alpha 90.00
_cell_angle_beta 90.00
_cell_angle_gamma 90.00
_space_group_name_H-M_alt 'P 1'
_space_group_IT_number 1
loop_
_space_group_symop_operation_xyz
'x,y,z'
loop_
_atom_site_label
_atom_site_fract_x
_atom_site_fract_y
_atom_site_fract_z
Ti1 0.0000 0.0000 0.0000
Mn1 0.5000 0.5000 0.0000
Tl1 0.0000 0.5000 0.5000
Tl2 0.5000 0.0000 0.5000
Pt1 0.0000 0.0000 0.5000
```

---

Starting from a crystal structure in Alexandria, relaxed with GGA-PBE, the powder diffraction line list of MnTl4Pt was calculated for a wavelength of 1.5418 Å.
Lines closer than 0.1° are merged.

The 10 most intense peaks (10 to 90 degrees two-theta), sorted by position:
2θ = 17.7°, rel. 28.8
2θ = 29.2°, rel. 14.0
2θ = 34.3°, rel. 100.0
2θ = 35.9°, rel. 57.1
2θ = 41.7°, rel. 13.2
2θ = 55.1°, rel. 35.0
2θ = 60.5°, rel. 32.1
2θ = 71.4°, rel. 12.2
2θ = 72.4°, rel. 23.0
2θ = 86.3°, rel. 22.9

Crystal structure
```
data_MnTl4Pt
_chemical_formula_sum 'Mn1 Tl4 Pt1'
_cell_length_a 6.1247
_cell_length_b 6.1247
_cell_length_c 6.1247
_cell_angle_alpha 60.00
_cell_angle_beta 60.00
_cell_angle_gamma 60.00
_space_group_name_H-M_alt 'P 1'
_space_group_IT_number 1
loop_
_space_group_symop_operation_xyz
'x,y,z'
loop_
_atom_site_label
_atom_site_fract_x
_atom_site_fract_y
_atom_site_fract_z
Mn1 0.0000 0.0000 0.0000
Tl1 0.3754 0.3754 0.3754
Tl2 0.3754 0.3754 0.8737
Tl3 0.3754 0.8737 0.3754
Tl4 0.8737 0.3754 0.3754
Pt1 0.7500 0.7500 0.7500
```